Entry 1:
This entry pairs a crystal structure of Hf2Al2CuAu with its computed X-ray powder pattern. Radiation: λ = 1.5418 Å (Cu Kα). Structure: a GGA-PBE-relaxed structure.
Peak positions follow from Bragg's law for the DFT cell and can differ from measured ones.

Structure:
Lattice parameters (Å, degrees): 7.530 4.334 14.392 90.00 99.84 90.00
Sites, in units of the cell vectors:
Hf1 0.000 0.000 0.000
Hf2 0.009 0.500 0.494
Hf3 0.235 0.000 0.737
Hf4 0.248 0.500 0.243
Hf5 0.483 0.000 0.485
Hf6 0.500 0.500 0.000
Hf7 0.744 0.000 0.237
Hf8 0.758 0.500 0.740
Al1 0.123 0.500 0.864
Al2 0.124 0.000 0.363
Al3 0.367 0.500 0.613
Al4 0.372 0.000 0.123
Al5 0.615 0.500 0.363
Al6 0.621 0.000 0.866
Al7 0.876 0.000 0.616
Al8 0.876 0.500 0.124
Cu1 0.061 0.000 0.183
Cu2 0.061 0.500 0.677
Cu3 0.308 0.500 0.427
Cu4 0.559 0.500 0.182
Au1 0.310 0.000 0.930
Au2 0.558 0.000 0.677
Au3 0.809 0.000 0.428
Au4 0.811 0.500 0.931

Top 8 peaks for 10 to 80 degrees two-theta, in order of rising 2θ:
- hkl 1 1 1, 2θ = 25.12°, rel. 89
- hkl 0 2 0, 2θ = 41.61°, rel. 100
- hkl 4 0 0, 2θ = 49.12°, rel. 14
- hkl 2 2 -2, 2θ = 49.28°, rel. 29
- hkl 2 2 -6, 2θ = 60.39°, rel. 11
- hkl 4 2 0, 2θ = 66.33°, rel. 12
- hkl 6 0 -2, 2θ = 75.81°, rel. 11
- hkl 3 3 -1, 2θ = 75.99°, rel. 22


Entry 2:
This entry pairs a crystal structure of DyPO4 with its computed X-ray powder pattern. Radiation: λ = 1.5418 Å (Cu Kα). Structure: a GGA-PBE-relaxed structure.
Peak positions follow from Bragg's law for the DFT cell and can differ from measured ones.

Structure:
Lattice parameters (Å, degrees): 9.179 7.379 4.668 90.00 90.00 90.00
Sites, in units of the cell vectors:
Dy1 0.000 0.000 0.000
Dy2 0.000 0.500 0.000
Dy3 0.500 0.000 0.500
Dy4 0.500 0.500 0.500
P1 0.184 0.250 0.484
P2 0.316 0.750 0.984
P3 0.684 0.250 0.016
P4 0.816 0.750 0.516
O1 0.128 0.074 0.616
O2 0.128 0.426 0.616
O3 0.134 0.250 0.164
O4 0.146 0.750 0.013
O5 0.354 0.250 0.513
O6 0.366 0.750 0.664
O7 0.372 0.574 0.116
O8 0.372 0.926 0.116
O9 0.628 0.074 0.884
O10 0.628 0.426 0.884
O11 0.634 0.250 0.336
O12 0.646 0.750 0.487
O13 0.854 0.250 0.987
O14 0.866 0.750 0.836
O15 0.872 0.574 0.384
O16 0.872 0.926 0.384

Top 8 peaks for 10 to 80 degrees two-theta, in order of rising 2θ:
- hkl 2 0 0, 2θ = 19.34°, rel. 50
- hkl 1 0 1, 2θ = 21.36°, rel. 100
- hkl 2 2 0, 2θ = 31.10°, rel. 65
- hkl 1 2 1, 2θ = 32.43°, rel. 71
- hkl 3 0 1, 2θ = 35.07°, rel. 46
- hkl 3 2 1, 2θ = 43.02°, rel. 41
- hkl 2 2 2, 2θ = 50.35°, rel. 32
- hkl 5 2 1, 2θ = 59.64°, rel. 23


Entry 3:
This entry pairs a crystal structure of NdCdNO with its computed X-ray powder pattern. Radiation: λ = 1.5418 Å (Cu Kα). Structure: a GGA-PBE-relaxed structure.
Peak positions follow from Bragg's law for the DFT cell and can differ from measured ones.

Structure:
Lattice parameters (Å, degrees): 3.979 6.345 5.620 90.00 90.00 90.00
Sites, in units of the cell vectors:
Nd1 0.000 0.195 0.000
Nd2 0.000 0.805 0.500
Cd1 0.500 0.301 0.495
Cd2 0.500 0.699 0.995
N1 0.000 0.164 0.425
N2 0.000 0.836 0.925
O1 0.500 0.347 0.907
O2 0.500 0.653 0.407

Top 8 peaks for 10 to 80 degrees two-theta, in order of rising 2θ:
- hkl 0 2 0, 2θ = 28.13°, rel. 30
- hkl 1 1 1, 2θ = 30.94°, rel. 100
- hkl 0 0 2, 2θ = 31.85°, rel. 36
- hkl 0 2 1, 2θ = 32.41°, rel. 17
- hkl 0 2 2, 2θ = 43.00°, rel. 18
- hkl 1 3 0, 2θ = 48.76°, rel. 17
- hkl 1 1 3, 2θ = 56.17°, rel. 22
- hkl 1 3 2, 2θ = 59.43°, rel. 16